1.
Simulated X-ray powder pattern
Compound: Na6Li3Fe6P8O32
Radiation: CuKα
Structure: a structure optimized by DFT (GGA+U)
Lines closer than 0.1° are merged.

The 12 most intense peaks (5 to 70 degrees two-theta), sorted by position:
d/Å	Position (°2θ)	I/Imax	index
10.135	8.7	100	0 0 1
6.225	14.2	43	1 0 0
5.388	16.5	38	1 1 -1
5.351	16.6	27	-1 1 1
4.753	18.7	14	0 2 -1
4.652	19.1	19	0 2 1
3.087	28.9	13	1 3 -1
2.993	29.9	14	2 1 -2
2.884	31.0	36	0 2 -3
2.817	31.8	35	0 2 3
2.784	32.1	45	2 2 -1
2.653	33.8	31	0 4 0

a b c (Å): 6.541 10.618 10.643
angles (deg): 91.40 107.72 90.05
Space group P1 (No. 1)
One atom of each set of equivalent atoms:
Na  0.000  0.000  0.000 x1
Na  0.136  0.057  0.707 x1
Na  0.275  0.575  0.022 x1
Na  0.479  0.794  0.862 x1
Na  0.716  0.296  0.851 x1
Na  0.864  0.589  0.718 x1
Li  0.107  0.009  0.359 x1
Li  0.382  0.311  0.992 x1
Li  0.617  0.577  0.372 x1
Fe  0.073  0.542  0.360 x1
Fe  0.382  0.295  0.551 x1
Fe  0.449  0.798  0.553 x1
Fe  0.580  0.041  0.358 x1
Fe  0.721  0.288  0.181 x1
Fe  0.750  0.792  0.168 x1
P  0.249  0.277  0.264 x1
P  0.295  0.784  0.260 x1
P  0.330  0.552  0.687 x1
P  0.497  0.034  0.030 x1
P  0.644  0.053  0.684 x1
P  0.799  0.528  0.032 x1
P  0.842  0.303  0.464 x1
P  0.897  0.802  0.457 x1
O  0.023  0.241  0.179 x1
O  0.069  0.817  0.176 x1
O  0.071  0.273  0.549 x1
O  0.126  0.839  0.538 x1
O  0.144  0.553  0.554 x1
O  0.240  0.582  0.801 x1
O  0.266  0.389  0.371 x1
O  0.294  0.989  0.922 x1
O  0.315  0.668  0.355 x1
O  0.333  0.167  0.367 x1
O  0.373  0.898  0.362 x1
O  0.390  0.314  0.180 x1
O  0.434  0.417  0.698 x1
O  0.439  0.751  0.174 x1
O  0.449  0.038  0.166 x1
O  0.454  0.151  0.666 x1
O  0.506  0.648  0.683 x1
O  0.555  0.925  0.711 x1
O  0.565  0.170  0.006 x1
O  0.627  0.426  0.035 x1
O  0.686  0.942  0.038 x1
O  0.689  0.657  0.015 x1
O  0.692  0.328  0.549 x1
O  0.703  0.043  0.553 x1
O  0.755  0.763  0.540 x1
O  0.765  0.191  0.360 x1
O  0.816  0.915  0.357 x1
O  0.823  0.420  0.371 x1
O  0.840  0.099  0.796 x1
O  0.872  0.687  0.354 x1
O  0.902  0.494  0.923 x1
O  0.985  0.527  0.167 x1

***

2.
Simulated X-ray powder pattern
Compound: NaLi3Ti2Fe2P6O24
Radiation: CuKα
Structure: a structure optimized by DFT (GGA+U)
Lines closer than 0.1° are merged.

The 12 most intense peaks (5 to 70 degrees two-theta), sorted by position:
d/Å	Position (°2θ)	I/Imax	index
6.148	14.4	38	0 1 2
4.467	19.9	44	1 0 4
4.237	21.0	27	1 1 0
3.690	24.1	100	2 -1 3
3.074	29.0	37	0 2 4
2.810	31.9	61	2 -1 6
2.753	32.5	17	2 1 1
2.446	36.7	18	3 0 0
1.845	49.4	18	4 -2 6
1.748	52.3	16	3 -1 10
1.602	57.5	14	4 1 0
1.473	63.1	16	2 0 14

a b c (Å): 8.4747 8.4747 22.5195
angles (deg): 90.00 90.00 120.00
Space group R3 (No. 146, hexagonal axes)
One atom of each set of equivalent atoms:
Na  0.0000  0.0000  0.0000 x3
Li  0.0551  0.6971  0.1240 x9
Ti  0.0000  0.0000  0.3578 x3
Ti  0.0000  0.0000  0.6471 x3
Fe  0.0000  0.0000  0.1570 x3
Fe  0.0000  0.0000  0.8584 x3
P  0.0426  0.6678  0.9220 x9
P  0.0504  0.3816  0.4220 x9
O  0.0024  0.1916  0.6971 x9
O  0.0176  0.8258  0.5971 x9
O  0.0576  0.8321  0.1997 x9
O  0.0692  0.8598  0.9153 x9
O  0.1490  0.6688  0.9784 x9
O  0.1627  0.4625  0.0823 x9
O  0.1945  0.4399  0.4725 x9
O  0.1954  0.4402  0.7677 x9